Calculated powder X-ray diffraction pattern
Compound: Tl2CuGeO6
Radiation: Cu Kα (λ = 1.5418 Å)
Structure: a GGA-PBE-relaxed structure
Lines closer than 0.1° are merged.

Most intense lines, 10° ≤ 2θ ≤ 90°, low angle first:
d [Å], I/Imax
4.404, 29
3.726, 34
2.852, 100
2.837, 86
2.695, 38
2.578, 26
1.863, 33
1.705, 25

Crystal structure
Lattice parameters (Å, degrees): 5.7567 5.7567 5.1568 116.24 116.24 55.82
Sites, in units of the cell vectors:
Tl: 0.2479 0.2479 0.2797
Tl: 0.7521 0.7521 0.7203
Cu: 0.0201 0.9799 0.5000
Ge: 0.5221 0.4779 0.0000
O: 0.1936 0.6590 0.6871
O: 0.3410 0.8064 0.3129
O: 0.3530 0.2492 0.9337
O: 0.6926 0.1522 0.6660
O: 0.7508 0.6470 0.0663
O: 0.8478 0.3074 0.3340